Starting from the GGA-PBE geometry in the Materials Project, the X-ray diffraction stick pattern of Al2O3 was calculated for Cu Kα.
Lines closer than 0.1° are merged.

Main lines, in order of falling intensity (5° ≤ 2θ ≤ 70°):
28.61°, I = 100; 35.98°, I = 84; 32.04°, I = 62; 54.58°, I = 58; 37.05°, I = 56; 15.34°, I = 50; 39.52°, I = 34; 31.66°, I = 33; 60.95°, I = 29; 59.56°, I = 26; 43.19°, I = 25; 55.51°, I = 24

Structural model:
```
Al2O3
1.0
3.4001 0.0000 0.0000
0.0000 11.5534 0.0000
-1.5768 0.0000 4.9631
Al O
8 12
direct
0.1132 0.1625 0.1907
0.1132 0.3375 0.6907
0.3391 0.0555 0.7133
0.3391 0.4445 0.2133
0.6609 0.5555 0.7867
0.6609 0.9445 0.2867
0.8868 0.6625 0.3093
0.8868 0.8375 0.8093
0.1616 0.1957 0.5410
0.1616 0.3043 0.0410
0.1735 0.5018 0.8159
0.1735 0.9982 0.3159
0.4442 0.6147 0.4390
0.4442 0.8853 0.9390
0.5558 0.1147 0.0610
0.5558 0.3853 0.5610
0.8265 0.0018 0.6841
0.8265 0.4982 0.1841
0.8384 0.6957 0.9590
0.8384 0.8043 0.4590
```

***

Starting from the GGA-PBE geometry in the Materials Project, the X-ray diffraction stick pattern of LuSe was calculated for Cu Kα.
Lines closer than 0.1° are merged.

Main lines, in order of falling intensity (5° ≤ 2θ ≤ 70°):
31.75°, I = 100; 45.51°, I = 74; 27.40°, I = 26; 56.56°, I = 26; 53.95°, I = 13; 66.33°, I = 12

Structural model:
```
LuSe
1.0
5.6370 0.0000 0.0000
0.0000 5.6370 0.0000
0.0000 0.0000 5.6370
Lu Se
4 4
direct
0.0000 0.0000 0.0000
0.0000 0.5000 0.5000
0.5000 0.0000 0.5000
0.5000 0.5000 0.0000
0.0000 0.0000 0.5000
0.0000 0.5000 0.0000
0.5000 0.0000 0.0000
0.5000 0.5000 0.5000
```

***

Starting from the GGA-PBE geometry in the Materials Project, the X-ray diffraction stick pattern of Zr2Zn2N3 was calculated for Cu Kα.
Lines closer than 0.1° are merged.

Main lines, in order of falling intensity (5° ≤ 2θ ≤ 70°):
41.76°, I = 100; 33.29°, I = 85; 32.09°, I = 46; 57.21°, I = 41; 48.15°, I = 39; 34.92°, I = 25; 68.81°, I = 21; 26.01°, I = 13; 55.53°, I = 12; 67.82°, I = 11; 63.76°, I = 7; 63.88°, I = 6

Structural model:
```
Zr2Zn2N3
1.0
3.2204 0.0000 0.0000
-1.6102 2.7890 0.0000
0.0000 0.0000 10.2786
Zr Zn N
2 2 3
direct
0.3333 0.6667 0.1350
0.6667 0.3333 0.8650
0.3333 0.6667 0.4078
0.6667 0.3333 0.5922
0.0000 0.0000 0.0000
0.3333 0.6667 0.7482
0.6667 0.3333 0.2518
```

***

Starting from the GGA-PBE geometry in the Materials Project, the X-ray diffraction stick pattern of ErHg was calculated for Cu Kα.
Lines closer than 0.1° are merged.

Main lines, in order of falling intensity (5° ≤ 2θ ≤ 70°):
34.30°, I = 100; 61.42°, I = 38; 49.29°, I = 18; 24.07°, I = 1; 55.58°, I = 1

Structural model:
```
ErHg
1.0
3.6976 0.0000 0.0000
0.0000 3.6976 0.0000
0.0000 0.0000 3.6976
Er Hg
1 1
direct
0.0000 0.0000 0.0000
0.5000 0.5000 0.5000
```

***

Starting from the GGA-PBE geometry in the Materials Project, the X-ray diffraction stick pattern of Zn3Cd3B4O12 was calculated for Cu Kα.
Lines closer than 0.1° are merged.

Main lines, in order of falling intensity (5° ≤ 2θ ≤ 70°):
29.72°, I = 100; 47.84°, I = 38; 36.58°, I = 32; 20.88°, I = 27; 57.35°, I = 23; 61.69°, I = 22; 42.53°, I = 20; 32.92°, I = 7; 65.86°, I = 7; 30.58°, I = 3; 53.25°, I = 3; 57.82°, I = 3

Structural model:
```
Zn3Cd3B4O12
1.0
4.2546 2.4564 4.2468
-4.2546 2.4564 4.2468
0.0000 -4.9128 4.2468
Zn Cd B O
3 3 4 12
direct
0.0278 0.6447 0.3275
0.3275 0.0278 0.6447
0.6447 0.3275 0.0278
0.1530 0.5256 0.8267
0.5256 0.8267 0.1530
0.8267 0.1530 0.5256
0.2155 0.2155 0.2155
0.4466 0.4466 0.4466
0.7021 0.7021 0.7021
0.9616 0.9616 0.9616
0.0873 0.3984 0.1586
0.1489 0.8712 0.8626
0.1586 0.0873 0.3984
0.3280 0.6338 0.3841
0.3841 0.3280 0.6338
0.3984 0.1586 0.0873
0.6006 0.6177 0.8911
0.6177 0.8911 0.6006
0.6338 0.3841 0.3280
0.8626 0.1489 0.8712
0.8712 0.8626 0.1489
0.8911 0.6006 0.6177
```

***

Starting from the GGA-PBE geometry in the Materials Project, the X-ray diffraction stick pattern of CaH16O10 was calculated for Cu Kα.
Lines closer than 0.1° are merged.

Main lines, in order of falling intensity (5° ≤ 2θ ≤ 70°):
15.62°, I = 100; 33.48°, I = 87; 46.80°, I = 82; 33.70°, I = 70; 26.03°, I = 65; 25.66°, I = 61; 31.55°, I = 51; 14.43°, I = 42; 37.63°, I = 32; 33.20°, I = 30; 38.16°, I = 29; 20.46°, I = 23

Structural model:
```
CaH16O10
1.0
6.1420 0.0000 0.0000
0.0000 6.1358 0.0000
-0.2347 0.0000 11.3444
Ca H O
2 32 20
direct
0.0000 0.0069 0.0000
0.0000 0.9931 0.5000
0.0239 0.4418 0.8868
0.0239 0.5582 0.3868
0.0257 0.4417 0.1167
0.0257 0.5583 0.6167
0.2666 0.3715 0.8896
0.2666 0.6285 0.3896
0.2686 0.3739 0.1076
0.2686 0.6261 0.6076
0.2876 0.0810 0.2922
0.2876 0.9190 0.7922
0.3639 0.2737 0.6097
0.3639 0.7263 0.1097
0.3708 0.2644 0.3891
0.3708 0.7356 0.8891
0.4335 0.0313 0.6125
0.4335 0.9687 0.1125
0.5555 0.0328 0.8847
0.5555 0.9672 0.3847
0.6137 0.2698 0.1096
0.6137 0.7302 0.6096
0.6200 0.2774 0.8915
0.6200 0.7226 0.3915
0.6879 0.0765 0.2066
0.6879 0.9235 0.7066
0.7244 0.3802 0.3902
0.7244 0.6198 0.8902
0.7264 0.3778 0.6104
0.7264 0.6222 0.1104
0.9144 0.2939 0.7066
0.9139 0.3053 0.2937
0.9139 0.6947 0.7937
0.9144 0.7061 0.2066
0.1165 0.3119 0.8735
0.1165 0.6881 0.3735
0.1223 0.3120 0.1290
0.1223 0.6880 0.6290
0.3040 0.1241 0.6256
0.3040 0.8759 0.1256
0.3133 0.1105 0.3767
0.3133 0.8895 0.8767
0.5042 0.4933 0.4334
0.5042 0.5067 0.9334
0.5053 0.4979 0.0663
0.5053 0.5021 0.5663
0.6789 0.1166 0.1228
0.6789 0.8834 0.6228
0.6838 0.1290 0.8722
0.6838 0.8710 0.3722
0.8767 0.3134 0.3773
0.8767 0.6866 0.8773
0.8822 0.3199 0.6223
0.8822 0.6801 0.1223
```

***

Starting from the GGA-PBE geometry in the Materials Project, the X-ray diffraction stick pattern of Ho2Fe17C3 was calculated for Cu Kα.
Lines closer than 0.1° are merged.

Main lines, in order of falling intensity (5° ≤ 2θ ≤ 70°):
42.28°, I = 100; 41.87°, I = 73; 29.82°, I = 45; 36.05°, I = 40; 40.48°, I = 36; 43.47°, I = 35; 61.01°, I = 21; 61.94°, I = 21; 45.83°, I = 20; 33.50°, I = 16; 69.09°, I = 14; 47.46°, I = 13

Structural model:
```
Ho2Fe17C3
1.0
8.6304 0.0000 0.0000
-4.3152 7.4741 0.0000
0.0000 0.0000 8.3266
Ho Fe C
4 34 6
direct
0.0000 0.0000 0.2500
0.0000 0.0000 0.7500
0.3333 0.6667 0.2500
0.6667 0.3333 0.7500
0.0000 0.5000 0.0000
0.0000 0.5000 0.5000
0.0514 0.3786 0.7500
0.0514 0.6729 0.7500
0.1682 0.3364 0.0196
0.1682 0.3364 0.4804
0.1682 0.8318 0.0196
0.1682 0.8318 0.4804
0.3271 0.3786 0.7500
0.3271 0.9486 0.7500
0.3333 0.6667 0.6075
0.3333 0.6667 0.8925
0.3364 0.1682 0.5196
0.3364 0.1682 0.9804
0.3786 0.0514 0.2500
0.3786 0.3271 0.2500
0.5000 0.0000 0.0000
0.5000 0.0000 0.5000
0.5000 0.5000 0.0000
0.5000 0.5000 0.5000
0.6214 0.6729 0.7500
0.6214 0.9486 0.7500
0.6636 0.8318 0.0196
0.6636 0.8318 0.4804
0.6667 0.3333 0.1075
0.6667 0.3333 0.3925
0.6729 0.0514 0.2500
0.6729 0.6214 0.2500
0.8318 0.1682 0.5196
0.8318 0.1682 0.9804
0.8318 0.6636 0.5196
0.8318 0.6636 0.9804
0.9486 0.3271 0.2500
0.9486 0.6214 0.2500
0.1659 0.3318 0.2500
0.1659 0.8341 0.2500
0.3318 0.1659 0.7500
0.6682 0.8341 0.2500
0.8341 0.1659 0.7500
0.8341 0.6682 0.7500
```

***

Starting from the GGA-PBE geometry in the Materials Project, the X-ray diffraction stick pattern of NdSmMn4Ge4 was calculated for Cu Kα.
Lines closer than 0.1° are merged.

Main lines, in order of falling intensity (5° ≤ 2θ ≤ 70°):
33.27°, I = 100; 35.76°, I = 91; 45.37°, I = 56; 57.41°, I = 42; 47.40°, I = 40; 31.65°, I = 31; 67.70°, I = 27; 66.10°, I = 17; 60.46°, I = 17; 46.21°, I = 8; 68.71°, I = 8; 23.70°, I = 6

Structural model:
```
NdSmMn4Ge4
1.0
3.9981 0.0000 0.0000
0.0000 3.9981 0.0000
0.0000 0.0000 10.9293
Nd Sm Mn Ge
1 1 4 4
direct
0.0000 0.0000 0.0000
0.5000 0.5000 0.5000
0.0000 0.5000 0.2509
0.0000 0.5000 0.7491
0.5000 0.0000 0.2509
0.5000 0.0000 0.7491
0.0000 0.0000 0.3779
0.0000 0.0000 0.6221
0.5000 0.5000 0.1238
0.5000 0.5000 0.8762
```